Cs2PtC2O4F4: simulated X-ray powder pattern (Cu Kα), based on a crystal structure in the Materials Project, relaxed with GGA-PBE.

Atomic structure:
```
data_Cs2PtC2O4F4
_chemical_formula_sum 'Cs4 Pt2 C4 O8 F8'
_space_group_name_H-M_alt 'P 1'
_space_group_IT_number 1
_cell_length_a 8.1180
_cell_length_b 8.1180
_cell_length_c 9.9167
_cell_angle_alpha 90.30
_cell_angle_beta 90.30
_cell_angle_gamma 46.25
loop_
_space_group_symop_operation_xyz
'x,y,z'
loop_
_atom_site_label
_atom_site_type_symbol
_atom_site_fract_x
_atom_site_fract_y
_atom_site_fract_z
Cs1 Cs 0.0444 0.0444 0.2891
Cs2 Cs 0.2733 0.2733 0.6648
Cs3 Cs 0.7267 0.7267 0.3352
Cs4 Cs 0.9556 0.9556 0.7109
Pt1 Pt 0.3837 0.3837 0.3088
Pt2 Pt 0.6163 0.6163 0.6912
C1 C 0.2398 0.4855 0.0387
C2 C 0.4855 0.2398 0.0387
C3 C 0.5145 0.7602 0.9613
C4 C 0.7602 0.5145 0.9613
O1 O 0.1310 0.5792 0.9354
O2 O 0.1622 0.5821 0.1587
O3 O 0.4179 0.8378 0.8413
O4 O 0.4208 0.8690 0.0646
O5 O 0.5792 0.1310 0.9354
O6 O 0.5821 0.1622 0.1587
O7 O 0.8378 0.4179 0.8413
O8 O 0.8690 0.4208 0.0646
F1 F 0.1705 0.6145 0.4512
F2 F 0.2506 0.2506 0.3361
F3 F 0.3855 0.8295 0.5488
F4 F 0.4853 0.4853 0.7166
F5 F 0.5147 0.5147 0.2834
F6 F 0.6145 0.1705 0.4512
F7 F 0.7494 0.7494 0.6639
F8 F 0.8295 0.3855 0.5488
```

Peak list (12 most intense, 2θ from 5° to 70°, by intensity)
2θ/deg	Rel. int.
24.4	100
29.0	43
8.9	43
22.7	38
17.9	37
33.4	30
39.3	27
27.0	27
28.0	25
37.2	23
50.1	21
47.2	21